No. 1
For ThPaSb2, a structure optimized by DFT (GGA-PBE) gives the computed PXRD pattern in this record (Cu Kα X-rays).
Peak positions follow from Bragg's law for the DFT cell and can differ from measured ones.

Atomic structure:
a = 8.869 Å, b = 17.741 Å, c = 7.680 Å
α = 90.00°, β = 125.26°, γ = 90.00°
Space group C2/c (No. 15)
Inequivalent atoms, fractional coordinates:
Th: 0.000 0.065 0.250 [4 per cell]
Th: 0.000 0.310 0.250 [4 per cell]
Pa: 0.000 0.184 0.750 [4 per cell]
Pa: 0.000 0.440 0.750 [4 per cell]
Sb: 0.241 0.313 0.757 [8 per cell]
Sb: 0.247 0.438 0.243 [8 per cell]

Most intense lines, 10° ≤ 2θ ≤ 90°, in order of rising 2θ:
hkl 2 0 -2, 24.59 deg, intensity 17
hkl 0 0 2, 28.46 deg, intensity 100
hkl 2 4 1, 40.69 deg, intensity 77
hkl 4 4 -3, 48.12 deg, intensity 9
hkl 4 0 0, 50.41 deg, intensity 28
hkl 0 0 4, 58.90 deg, intensity 13
hkl 6 0 -4, 64.80 deg, intensity 4
hkl 2 4 3, 66.70 deg, intensity 36
hkl 4 0 2, 74.06 deg, intensity 26
hkl 4 8 2, 88.11 deg, intensity 9



No. 2
For TbPm3Al4, a structure optimized by DFT (GGA-PBE) gives the computed PXRD pattern in this record (Cu Kα X-rays).
Peak positions follow from Bragg's law for the DFT cell and can differ from measured ones.

Atomic structure:
a = 3.678 Å, b = 3.678 Å, c = 14.718 Å
α = 90.00°, β = 90.00°, γ = 90.00°
Space group P4/mmm (No. 123)
Inequivalent atoms, fractional coordinates:
Tb: 0.000 0.000 0.000 [1 per cell]
Pm: 0.000 0.000 0.247 [2 per cell]
Pm: 0.000 0.000 0.500 [1 per cell]
Al: 0.500 0.500 0.118 [2 per cell]
Al: 0.500 0.500 0.373 [2 per cell]

Most intense lines, 10° ≤ 2θ ≤ 90°, in order of rising 2θ:
hkl 1 0 0, 24.19 deg, intensity 59
hkl 1 1 0, 34.48 deg, intensity 100
hkl 1 1 4, 42.56 deg, intensity 18
hkl 2 0 0, 49.56 deg, intensity 18
hkl 2 1 0, 55.88 deg, intensity 24
hkl 2 1 4, 61.77 deg, intensity 37
hkl 2 2 0, 72.70 deg, intensity 11
hkl 3 0 0, 77.90 deg, intensity 12
hkl 3 1 0, 83.01 deg, intensity 16
hkl 3 1 4, 88.06 deg, intensity 7



No. 3
For Re2As2Br, a structure optimized by DFT (GGA-PBE) gives the computed PXRD pattern in this record (Cu Kα X-rays).
Peak positions follow from Bragg's law for the DFT cell and can differ from measured ones.

Atomic structure:
a = 3.666 Å, b = 3.666 Å, c = 16.074 Å
α = 90.00°, β = 90.00°, γ = 90.00°
Space group I4/mmm (No. 139)
Inequivalent atoms, fractional coordinates:
Re: 0.000 0.500 0.250 [4 per cell]
As: 0.000 0.000 0.132 [4 per cell]
Br: 0.000 0.000 0.500 [2 per cell]

Most intense lines, 10° ≤ 2θ ≤ 90°, in order of rising 2θ:
hkl 0 0 2, 11.01 deg, intensity 100
hkl 0 0 4, 22.12 deg, intensity 21
hkl 1 0 3, 29.52 deg, intensity 20
hkl 1 1 2, 36.42 deg, intensity 52
hkl 1 1 4, 41.45 deg, intensity 37
hkl 0 0 8, 45.13 deg, intensity 13
hkl 1 1 6, 48.89 deg, intensity 28
hkl 2 0 0, 49.74 deg, intensity 20
hkl 2 0 8, 69.40 deg, intensity 15
hkl 3 1 2, 84.42 deg, intensity 10



No. 4
For La3ErSi4, a structure optimized by DFT (GGA-PBE) gives the computed PXRD pattern in this record (Cu Kα X-rays).
Peak positions follow from Bragg's law for the DFT cell and can differ from measured ones.

Atomic structure:
a = 4.312 Å, b = 6.302 Å, c = 16.385 Å
α = 90.00°, β = 90.00°, γ = 90.00°
Space group Immm (No. 71)
Inequivalent atoms, fractional coordinates:
La: 0.000 0.000 0.000 [2 per cell]
La: 0.000 0.500 0.195 [4 per cell]
Er: 0.000 0.000 0.500 [2 per cell]
Si: 0.000 0.314 0.372 [8 per cell]

Most intense lines, 10° ≤ 2θ ≤ 90°, in order of rising 2θ:
hkl 1 1 2, 27.32 deg, intensity 100
hkl 0 2 0, 28.32 deg, intensity 21
hkl 0 1 5, 30.75 deg, intensity 15
hkl 1 1 4, 33.35 deg, intensity 20
hkl 0 2 4, 35.96 deg, intensity 17
hkl 1 2 3, 39.06 deg, intensity 15
hkl 2 0 0, 41.90 deg, intensity 14
hkl 1 3 2, 49.53 deg, intensity 19
hkl 1 1 8, 51.48 deg, intensity 17
hkl 1 3 8, 67.45 deg, intensity 13



No. 5
For YErHg4, a structure optimized by DFT (GGA-PBE) gives the computed PXRD pattern in this record (Cu Kα X-rays).
Peak positions follow from Bragg's law for the DFT cell and can differ from measured ones.

Atomic structure:
a = 11.877 Å, b = 3.602 Å, c = 7.255 Å
α = 90.00°, β = 107.79°, γ = 90.00°
Space group C2/m (No. 12)
Inequivalent atoms, fractional coordinates:
Y: 0.000 0.000 0.000 [2 per cell]
Er: 0.000 0.000 0.500 [2 per cell]
Hg: 0.167 0.500 0.337 [4 per cell]
Hg: 0.168 0.500 0.831 [4 per cell]

Most intense lines, 10° ≤ 2θ ≤ 90°, in order of rising 2θ:
hkl 2 0 2, 34.31 deg, intensity 100
hkl 3 1 0, 34.44 deg, intensity 99
hkl 1 1 -2, 35.11 deg, intensity 94
hkl 6 0 0, 48.28 deg, intensity 19
hkl 2 0 -4, 50.30 deg, intensity 17
hkl 0 2 0, 50.69 deg, intensity 17
hkl 5 1 2, 61.08 deg, intensity 39
hkl 1 1 4, 62.39 deg, intensity 36
hkl 2 2 2, 62.64 deg, intensity 36
hkl 9 1 0, 81.01 deg, intensity 18



No. 6
For Th2Ti2Co15, a structure optimized by DFT (GGA-PBE) gives the computed PXRD pattern in this record (Cu Kα X-rays).
Peak positions follow from Bragg's law for the DFT cell and can differ from measured ones.

Atomic structure:
a = 8.3989 Å, b = 8.3989 Å, c = 12.4082 Å
α = 90.00°, β = 90.00°, γ = 120.00°
Space group R-3m (No. 166, hexagonal axes)
Inequivalent atoms, fractional coordinates:
Th: 0.0000 0.0000 0.1471 [6 per cell]
Ti: 0.0000 0.0000 0.3948 [6 per cell]
Co: 0.0000 0.2906 0.5000 [18 per cell]
Co: 0.0000 0.5000 0.0000 [9 per cell]
Co: 0.0030 0.5015 0.3476 [18 per cell]

Most intense lines, 10° ≤ 2θ ≤ 90°, in order of rising 2θ:
hkl 1 1 3, 30.33 deg, intensity 54
hkl 1 0 4, 31.35 deg, intensity 22
hkl 2 1 1, 33.38 deg, intensity 20
hkl 3 0 0, 37.08 deg, intensity 45
hkl 0 2 4, 38.13 deg, intensity 42
hkl 2 2 0, 43.08 deg, intensity 62
hkl 3 0 3, 43.25 deg, intensity 100
hkl 0 0 6, 43.77 deg, intensity 29
hkl 2 1 4, 44.01 deg, intensity 30
hkl 1 4 3, 62.70 deg, intensity 21